(1)
Simulated powder diffractogram of Nb6ReRu for λ = 1.5418 Å (Cu Kα), from a cell relaxed with PBE.

Atomic structure:
Cell lengths 7.3258, 7.3258, 8.9838 Å; angles 90.00, 90.00, 120.00 degrees
Space group R-3 (No. 148, hexagonal axes)
Unique sites:
Nb 0.0003 0.2499 0.2500
Re 0.0000 0.0000 0.5000
Ru 0.0000 0.0000 0.0000

Most intense lines, 2θ = 10–80°, low angle first:
- 2θ = 17.1°, I 7, hkl 1 0 1
- 2θ = 24.3°, I 8, hkl 1 1 0
- 2θ = 29.9°, I 2, hkl 0 0 3
- 2θ = 34.6°, I 45, hkl 2 0 2
- 2θ = 38.9°, I 87, hkl 2 1 1
- 2θ = 42.7°, I 100, hkl 3 -2 2
- 2θ = 62.0°, I 4, hkl 0 4 2
- 2θ = 64.9°, I 19, hkl 1 2 5
- 2θ = 67.6°, I 50, hkl 1 4 0
- 2θ = 73.0°, I 16, hkl 4 0 4



(2)
Simulated powder diffractogram of CsRb3I4 for λ = 1.5418 Å (Cu Kα), from a cell relaxed with PBE.

Atomic structure:
Cell lengths 7.5662, 7.5662, 7.5662 Å; angles 90.00, 90.00, 90.00 degrees
Space group Pm-3m (No. 221)
Unique sites:
Cs 0.0000 0.0000 0.0000
Rb 0.0000 0.5000 0.5000
I 0.0000 0.0000 0.5000
I 0.5000 0.5000 0.5000

Most intense lines, 2θ = 10–80°, low angle first:
- 2θ = 20.3°, I 3, hkl 1 1 1
- 2θ = 23.5°, I 100, hkl 2 0 0
- 2θ = 33.5°, I 80, hkl 2 2 0
- 2θ = 39.5°, I 2, hkl 3 1 1
- 2θ = 41.3°, I 29, hkl 2 2 2
- 2θ = 48.1°, I 14, hkl 4 0 0
- 2θ = 54.2°, I 39, hkl 4 2 0
- 2θ = 59.9°, I 29, hkl 4 2 2
- 2θ = 70.4°, I 9, hkl 4 4 0
- 2θ = 75.4°, I 19, hkl 6 0 0